(1)
The following is a computed powder diffractogram of Ce8Ir3Rh2. It was derived from a PBE-relaxed structure, using a wavelength of 1.5418 Å.
Lines closer than 0.1° are merged.

The 10 most intense peaks (10° ≤ 2θ ≤ 80°), low angle first:
two_theta  intensity
13.12  20
14.00  19
31.13  59
32.33  100
35.42  14
44.31  39
45.73  18
46.66  42
46.99  15
57.45  15

Crystal structure
abc: 8.1943 8.1943 6.7670
angles: 108.23 108.23 56.32
Atoms (fractional coordinates):
Ce 0.1107 0.1107 0.2345
Ce 0.1441 0.6227 0.2417
Ce 0.3434 0.3434 0.7180
Ce 0.3773 0.8559 0.7583
Ce 0.6227 0.1441 0.2417
Ce 0.6566 0.6566 0.2820
Ce 0.8559 0.3773 0.7583
Ce 0.8893 0.8893 0.7655
Ir 0.0000 0.0000 0.5000
Ir 0.2978 0.7022 0.0000
Ir 0.7022 0.2978 0.0000
Rh 0.2425 0.2425 0.0127
Rh 0.7575 0.7575 0.9873

(2)
The following is a computed powder diffractogram of Ce2IrRh2. It was derived from a PBE-relaxed structure, using a wavelength of 1.5418 Å.
Lines closer than 0.1° are merged.

The 10 most intense peaks (10° ≤ 2θ ≤ 80°), low angle first:
two_theta  intensity
29.32  14
34.23  67
34.94  25
36.46  100
39.22  58
46.24  17
48.10  23
57.73  18
63.74  28
70.66  17

Crystal structure
abc: 7.2633 7.2633 7.5666
angles: 90.00 90.00 90.00
Atoms (fractional coordinates):
Ce 0.1851 0.3149 0.0000
Ce 0.1851 0.3149 0.5000
Ce 0.3149 0.8149 0.0000
Ce 0.3149 0.8149 0.5000
Ce 0.6851 0.1851 0.0000
Ce 0.6851 0.1851 0.5000
Ce 0.8149 0.6851 0.0000
Ce 0.8149 0.6851 0.5000
Ir 0.0000 0.0000 0.2495
Ir 0.0000 0.0000 0.7505
Ir 0.5000 0.5000 0.2505
Ir 0.5000 0.5000 0.7495
Rh 0.1314 0.6314 0.2500
Rh 0.1314 0.6314 0.7500
Rh 0.3686 0.1314 0.2500
Rh 0.3686 0.1314 0.7500
Rh 0.6314 0.8686 0.2500
Rh 0.6314 0.8686 0.7500
Rh 0.8686 0.3686 0.2500
Rh 0.8686 0.3686 0.7500

(3)
The following is a computed powder diffractogram of CeSiIrRh. It was derived from a PBE-relaxed structure, using a wavelength of 1.5418 Å.
Lines closer than 0.1° are merged.

The 10 most intense peaks (10° ≤ 2θ ≤ 80°), low angle first:
two_theta  intensity
19.72  21
20.65  29
24.52  17
32.26  100
37.58  24
40.06  20
42.01  27
43.26  58
45.73  21
78.09  17

Crystal structure
abc: 4.3017 4.9193 4.9193
angles: 47.57 90.00 90.00
Atoms (fractional coordinates):
Ce 0.0000 0.0000 0.0000
Si 0.5000 0.6061 0.6061
Ir 0.0000 0.7248 0.7248
Rh 0.5000 0.2622 0.2622